# BaZnOs2Cl
Theoretical X-ray powder pattern, a wavelength of 1.5418 Å. Input: a GGA-PBE-relaxed structure.

Crystal structure
```
data_BaZnOs2Cl
_cell_length_a 5.9608
_cell_length_b 5.9608
_cell_length_c 6.4161
_cell_angle_alpha 90.00
_cell_angle_beta 90.00
_cell_angle_gamma 90.00
_space_group_name_H-M_alt 'P 4/m m m'
_space_group_IT_number 123
_space_group_name_Hall '-P 4 2'
loop_
_atom_site_label
_atom_site_type_symbol
_atom_site_fract_x
_atom_site_fract_y
_atom_site_fract_z
Ba1 Ba 0.0000 0.0000 0.0000
Zn1 Zn 0.0000 0.0000 0.5000
Os1 Os 0.0000 0.5000 0.0000
Cl1 Cl 0.5000 0.5000 0.5000
```

Most intense lines, 2θ = 10–90°, in order of falling intensity:
two_theta  I/Imax
13.80  100
29.98  79
25.28  79
41.35  66
33.14  51
27.81  48
51.91  34
14.86  31

---

# BaP2Cl
Theoretical X-ray powder pattern, a wavelength of 1.5418 Å. Input: a GGA-PBE-relaxed structure.

Crystal structure
```
data_BaP2Cl
_cell_length_a 5.0571
_cell_length_b 3.5718
_cell_length_c 6.1469
_cell_angle_alpha 90.00
_cell_angle_beta 91.65
_cell_angle_gamma 90.00
_space_group_name_H-M_alt 'P 1 m 1'
_space_group_IT_number 6
loop_
_space_group_symop_operation_xyz
'x,y,z'
'x,-y,z'
loop_
_atom_site_label
_atom_site_type_symbol
_atom_site_fract_x
_atom_site_fract_y
_atom_site_fract_z
Ba1 Ba 0.0000 0.0000 0.0000
P1 P 0.7065 0.0000 0.4977
P2 P 0.9753 0.5000 0.4774
Cl1 Cl 0.4953 0.5000 0.9818
```

Most intense lines, 2θ = 10–90°, in order of falling intensity:
two_theta  I/Imax
33.78  100
14.42  81
34.25  80
29.07  77
17.54  74
30.65  44
28.91  26
35.52  25

---

# Ba2PrP2Cl2
Theoretical X-ray powder pattern, a wavelength of 1.5418 Å. Input: a GGA-PBE-relaxed structure.

Crystal structure
```
data_Ba2PrP2Cl2
_cell_length_a 5.5303
_cell_length_b 5.5303
_cell_length_c 15.9869
_cell_angle_alpha 90.00
_cell_angle_beta 90.00
_cell_angle_gamma 90.00
_space_group_name_H-M_alt 'I 4/m m m'
_space_group_IT_number 139
_space_group_name_Hall '-I 4 2'
loop_
_atom_site_label
_atom_site_type_symbol
_atom_site_fract_x
_atom_site_fract_y
_atom_site_fract_z
Ba1 Ba 0.0000 0.0000 0.1226
Pr1 Pr 0.0000 0.0000 0.5000
P1 P 0.0000 0.5000 0.0000
Cl1 Cl 0.0000 0.0000 0.3159
```

Most intense lines, 2θ = 10–90°, in order of falling intensity:
two_theta  I/Imax
32.36  100
22.74  69
46.42  54
23.18  46
11.07  28
40.20  23
67.76  20
77.11  18

---

# BaPb3Cl8
Theoretical X-ray powder pattern, a wavelength of 1.5418 Å. Input: a GGA-PBE-relaxed structure.

Crystal structure
```
data_BaPb3Cl8
_cell_length_a 7.1358
_cell_length_b 7.1358
_cell_length_c 7.1358
_cell_angle_alpha 90.00
_cell_angle_beta 90.00
_cell_angle_gamma 90.00
_space_group_name_H-M_alt 'P m -3 m'
_space_group_IT_number 221
_space_group_name_Hall '-P 4 2 3'
loop_
_atom_site_label
_atom_site_type_symbol
_atom_site_fract_x
_atom_site_fract_y
_atom_site_fract_z
Ba1 Ba 0.0000 0.0000 0.0000
Pb1 Pb 0.0000 0.5000 0.5000
Cl1 Cl 0.2553 0.2553 0.2553
```

Most intense lines, 2θ = 10–90°, in order of falling intensity:
two_theta  I/Imax
21.57  100
35.59  82
41.99  55
63.91  29
56.19  24
24.96  19
79.46  18
68.30  18